Record 1
Starting from a cell relaxed with PBE, the XRD peak list of NdTh9O20 was computed for CuKα.
Lines closer than 0.1° are merged.

The 6 most intense peaks (10° ≤ 2θ ≤ 90°), in order of rising 2θ:
2θ = 27.47°, rel. 100.0, hkl 1 0 2
2θ = 31.82°, rel. 36.4, hkl 1 2 0
2θ = 45.63°, rel. 50.7, hkl 3 0 1
2θ = 54.05°, rel. 31.9, hkl 2 2 2
2θ = 54.16°, rel. 15.9, hkl 4 -2 0
2θ = 84.33°, rel. 11.2, hkl 3 2 4

```
data_NdTh9O20
_chemical_formula_sum 'Nd1 Th9 O20'
_cell_length_a 6.8812
_cell_length_b 7.9500
_cell_length_c 8.8976
_cell_angle_alpha 102.86
_cell_angle_beta 97.51
_cell_angle_gamma 106.66
_symmetry_space_group_name_H-M 'P -1'
_symmetry_Int_Tables_number 2
loop_
_symmetry_equiv_pos_as_xyz
'x,y,z'
'-x,-y,-z'
loop_
_atom_site_label
_atom_site_fract_x
_atom_site_fract_y
_atom_site_fract_z
_atom_site_occupancy
Nd1 0.0000 0.0000 0.0000 1
Th1 0.0000 0.5000 0.0000 1
Th2 0.1993 0.3986 0.3984 1
Th3 0.1997 0.9002 0.3982 1
Th4 0.3979 0.2988 0.8006 1
Th5 0.4004 0.8013 0.8013 1
O1 0.0509 0.2289 0.8473 1
O2 0.0508 0.7201 0.8473 1
O3 0.1495 0.1744 0.5498 1
O4 0.1499 0.6752 0.5493 1
O5 0.2513 0.6255 0.2499 1
O6 0.2542 0.1271 0.2542 1
O7 0.3509 0.5748 0.9506 1
O8 0.3557 0.0766 0.9488 1
O9 0.4494 0.0254 0.6495 1
O10 0.4496 0.5243 0.6501 1
```

Record 2
Starting from a cell relaxed with PBE, the XRD peak list of LiCu2F6 was computed for CuKα.
Lines closer than 0.1° are merged.

The 6 most intense peaks (10° ≤ 2θ ≤ 90°), in order of rising 2θ:
2θ = 19.91°, rel. 100.0, hkl 0 0 2
2θ = 20.21°, rel. 46.1, hkl 1 1 0
2θ = 28.34°, rel. 23.1, hkl 1 1 -2
2θ = 40.49°, rel. 79.2, hkl 1 3 2
2θ = 40.95°, rel. 35.5, hkl 2 0 -2
2θ = 54.59°, rel. 42.7, hkl 2 0 -4

```
data_LiCu2F6
_chemical_formula_sum 'Li4 Cu8 F24'
_cell_length_a 5.0314
_cell_length_b 9.0271
_cell_length_c 8.9208
_cell_angle_alpha 90.00
_cell_angle_beta 90.78
_cell_angle_gamma 90.00
_symmetry_space_group_name_H-M 'C 1 2/c 1'
_symmetry_Int_Tables_number 15
loop_
_symmetry_equiv_pos_as_xyz
'x,y,z'
'-x,-y,-z'
'-x,y,-z+1/2'
'x,-y,z+1/2'
'x+1/2,y+1/2,z'
'-x+1/2,-y+1/2,-z'
'-x+1/2,y+1/2,-z+1/2'
'x+1/2,-y+1/2,z+1/2'
loop_
_atom_site_label
_atom_site_fract_x
_atom_site_fract_y
_atom_site_fract_z
_atom_site_occupancy
Li1 0.0000 0.0062 0.2500 1
Cu1 0.9998 0.3342 0.0004 1
F1 0.1578 0.4990 0.6167 1
F2 0.1781 0.1723 0.1163 1
F3 0.1816 0.1747 0.6191 1
```

Record 3
Starting from a cell relaxed with PBE, the XRD peak list of Cr2CuSe4 was computed for CuKα.
Lines closer than 0.1° are merged.

The 6 most intense peaks (10° ≤ 2θ ≤ 90°), in order of rising 2θ:
2θ = 28.41°, rel. 38.3, hkl 3 1 1
2θ = 29.70°, rel. 51.9, hkl 2 2 2
2θ = 34.43°, rel. 76.6, hkl 4 0 0
2θ = 45.22°, rel. 27.3, hkl 5 1 1
2θ = 49.49°, rel. 100.0, hkl 4 4 0
2θ = 58.79°, rel. 21.0, hkl 6 2 2

a b c (Å): 10.4193 10.4193 10.4193
angles (deg): 90.00 90.00 90.00
Space group Fd-3m (No. 227, origin choice 2)
Inequivalent atoms, fractional coordinates:
Cr: 0.0000 0.0000 0.0000 [16 per cell]
Cu: 0.1250 0.1250 0.6250 [8 per cell]
Se: 0.0076 0.0076 0.2424 [32 per cell]

Record 4
Starting from a cell relaxed with PBE, the XRD peak list of CsBO6 was computed for CuKα.
Lines closer than 0.1° are merged.

The 6 most intense peaks (10° ≤ 2θ ≤ 90°), in order of rising 2θ:
2θ = 19.42°, rel. 77.0, hkl 1 0 1
2θ = 22.66°, rel. 64.6, hkl 1 1 0
2θ = 31.83°, rel. 100.0, hkl 1 1 2
2θ = 32.26°, rel. 37.7, hkl 2 0 0
2θ = 37.18°, rel. 43.5, hkl 1 0 3
2θ = 37.93°, rel. 66.5, hkl 2 1 1

```
data_CsBO6
_chemical_formula_sum 'Cs2 B2 O12'
_cell_length_a 5.5496
_cell_length_b 5.5496
_cell_length_c 8.0609
_cell_angle_alpha 90.00
_cell_angle_beta 90.00
_cell_angle_gamma 90.00
_symmetry_space_group_name_H-M 'I -4 2 m'
_symmetry_Int_Tables_number 121
_symmetry_space_group_name_Hall 'I -4 2'
loop_
_atom_site_label
_atom_site_fract_x
_atom_site_fract_y
_atom_site_fract_z
_atom_site_occupancy
Cs1 0.0000 0.0000 0.0000 1
B1 0.0000 0.0000 0.5000 1
O1 0.0000 0.5000 0.2500 1
O2 0.1407 0.1407 0.3825 1
```

Record 5
Starting from a cell relaxed with PBE, the XRD peak list of Y3BBr3 was computed for CuKα.
Lines closer than 0.1° are merged.

The 6 most intense peaks (10° ≤ 2θ ≤ 90°), in order of rising 2θ:
2θ = 29.67°, rel. 48.3, hkl 3 2 1
2θ = 31.77°, rel. 100.0, hkl 4 0 0
2θ = 37.45°, rel. 26.2, hkl 3 3 2
2θ = 45.55°, rel. 64.2, hkl 4 4 0
2θ = 56.61°, rel. 19.9, hkl 4 4 4
2θ = 75.48°, rel. 20.3, hkl 8 4 0

```
data_Y3BBr3
_chemical_formula_sum 'Y24 B8 Br24'
_cell_length_a 11.2648
_cell_length_b 11.2648
_cell_length_c 11.2648
_cell_angle_alpha 90.00
_cell_angle_beta 90.00
_cell_angle_gamma 90.00
_symmetry_space_group_name_H-M 'I 41 3 2'
_symmetry_Int_Tables_number 214
_symmetry_space_group_name_Hall 'I 4bd 2c 3'
loop_
_atom_site_label
_atom_site_fract_x
_atom_site_fract_y
_atom_site_fract_z
_atom_site_occupancy
Y1 0.1047 0.3547 0.1250 1
B1 0.1250 0.1250 0.1250 1
Br1 0.1168 0.1332 0.6250 1
```

Record 6
Starting from a cell relaxed with PBE, the XRD peak list of MnPt was computed for CuKα.
Lines closer than 0.1° are merged.

The 6 most intense peaks (10° ≤ 2θ ≤ 90°), in order of rising 2θ:
2θ = 20.61°, rel. 56.5, hkl 0 0 3
2θ = 39.31°, rel. 34.5, hkl 1 0 1
2θ = 41.20°, rel. 100.0, hkl 0 1 2
2θ = 41.93°, rel. 31.7, hkl 0 0 6
2θ = 48.16°, rel. 63.6, hkl 1 0 4
2θ = 85.04°, rel. 24.7, hkl 1 1 6

```
data_MnPt
_chemical_formula_sum 'Mn3 Pt3'
_cell_length_a 2.6892
_cell_length_b 2.6892
_cell_length_c 12.9265
_cell_angle_alpha 90.00
_cell_angle_beta 90.00
_cell_angle_gamma 120.00
_symmetry_space_group_name_H-M 'R -3 m'
_symmetry_Int_Tables_number 166
_symmetry_space_group_name_Hall '-R 3 2"'
loop_
_atom_site_label
_atom_site_fract_x
_atom_site_fract_y
_atom_site_fract_z
_atom_site_occupancy
Mn1 0.0000 0.0000 0.0000 1
Pt1 0.0000 0.0000 0.5000 1
```

Record 7
Starting from a cell relaxed with PBE, the XRD peak list of Li2MgAg was computed for CuKα.
Lines closer than 0.1° are merged.

The 6 most intense peaks (10° ≤ 2θ ≤ 90°), in order of rising 2θ:
2θ = 23.35°, rel. 100.0, hkl 1 1 1
2θ = 27.02°, rel. 32.7, hkl 2 0 0
2θ = 38.59°, rel. 73.5, hkl 2 2 0
2θ = 45.59°, rel. 48.6, hkl 3 1 1
2θ = 61.22°, rel. 19.1, hkl 3 3 1
2θ = 69.82°, rel. 23.6, hkl 4 2 2

```
data_Li2MgAg
_chemical_formula_sum 'Li8 Mg4 Ag4'
_cell_length_a 6.5994
_cell_length_b 6.5994
_cell_length_c 6.5994
_cell_angle_alpha 90.00
_cell_angle_beta 90.00
_cell_angle_gamma 90.00
_symmetry_space_group_name_H-M 'F -4 3 m'
_symmetry_Int_Tables_number 216
_symmetry_space_group_name_Hall 'F -4 2 3'
loop_
_atom_site_label
_atom_site_fract_x
_atom_site_fract_y
_atom_site_fract_z
_atom_site_occupancy
Li1 0.0000 0.0000 0.0000 1
Li2 0.2500 0.2500 0.2500 1
Mg1 0.2500 0.2500 0.7500 1
Ag1 0.0000 0.0000 0.5000 1
```

Record 8
Starting from a cell relaxed with PBE, the XRD peak list of Tm3SbO7 was computed for CuKα.
Lines closer than 0.1° are merged.

The 6 most intense peaks (10° ≤ 2θ ≤ 90°), in order of rising 2θ:
2θ = 29.53°, rel. 100.0, hkl 2 2 0
2θ = 34.16°, rel. 24.0, hkl 2 0 2
2θ = 49.08°, rel. 15.1, hkl 0 0 4
2θ = 49.23°, rel. 28.7, hkl 2 4 2
2θ = 58.32°, rel. 27.6, hkl 2 2 4
2θ = 58.59°, rel. 12.3, hkl 0 6 2

```
data_Tm3SbO7
_chemical_formula_sum 'Tm12 Sb4 O28'
_cell_length_a 7.4257
_cell_length_b 10.4399
_cell_length_c 7.4237
_cell_angle_alpha 90.00
_cell_angle_beta 90.00
_cell_angle_gamma 90.00
_symmetry_space_group_name_H-M 'C 2 2 21'
_symmetry_Int_Tables_number 20
loop_
_symmetry_equiv_pos_as_xyz
'x,y,z'
'-x,-y,z+1/2'
'x,-y,-z'
'-x,y,-z+1/2'
'x+1/2,y+1/2,z'
'-x+1/2,-y+1/2,z+1/2'
'x+1/2,-y+1/2,-z'
'-x+1/2,y+1/2,-z+1/2'
loop_
_atom_site_label
_atom_site_fract_x
_atom_site_fract_y
_atom_site_fract_z
_atom_site_occupancy
Tm1 0.0148 0.0000 0.0000 1
Tm2 0.2338 0.2656 0.7528 1
Sb1 0.0000 0.5000 0.0000 1
O1 0.0000 0.1301 0.2500 1
O2 0.0000 0.1386 0.7500 1
O3 0.0000 0.4260 0.7500 1
O4 0.1934 0.3720 0.0341 1
O5 0.2032 0.3758 0.4721 1
```

Record 9
Starting from a cell relaxed with PBE, the XRD peak list of InGaCu2Te2Se2 was computed for CuKα.
Lines closer than 0.1° are merged.

The 6 most intense peaks (10° ≤ 2θ ≤ 90°), in order of rising 2θ:
2θ = 25.70°, rel. 100.0, hkl 2 2 -1
2θ = 42.45°, rel. 12.5, hkl 0 0 2
2θ = 42.60°, rel. 48.5, hkl 2 4 -2
2θ = 42.69°, rel. 11.9, hkl 4 0 -2
2θ = 50.31°, rel. 15.3, hkl 2 2 -3
2θ = 50.46°, rel. 28.2, hkl 0 6 1

```
data_InGaCu2Te2Se2
_chemical_formula_sum 'In2 Ga2 Cu4 Te4 Se4'
_cell_length_a 8.4713
_cell_length_b 11.9982
_cell_length_c 6.0038
_cell_angle_alpha 90.00
_cell_angle_beta 134.81
_cell_angle_gamma 90.00
_symmetry_space_group_name_H-M 'C 1 2 1'
_symmetry_Int_Tables_number 5
loop_
_symmetry_equiv_pos_as_xyz
'x,y,z'
'-x,y,-z'
'x+1/2,y+1/2,z'
'-x+1/2,y+1/2,-z'
loop_
_atom_site_label
_atom_site_fract_x
_atom_site_fract_y
_atom_site_fract_z
_atom_site_occupancy
In1 0.0000 0.0000 0.0000 1
Ga1 0.0000 0.2672 0.5000 1
Cu1 0.0000 0.4994 0.0000 1
Cu2 0.0000 0.7670 0.5000 1
Te1 0.2259 0.6395 0.9883 1
Se1 0.2357 0.3792 0.4691 1
```

Record 10
Starting from a cell relaxed with PBE, the XRD peak list of V3FeS6 was computed for CuKα.
Lines closer than 0.1° are merged.

The 6 most intense peaks (10° ≤ 2θ ≤ 90°), in order of rising 2θ:
2θ = 19.07°, rel. 20.4, hkl 1 0 1
2θ = 31.99°, rel. 19.2, hkl 1 1 0
2θ = 35.94°, rel. 87.6, hkl 1 1 3
2θ = 46.02°, rel. 100.0, hkl 2 -1 6
2θ = 57.02°, rel. 43.1, hkl 3 0 0
2θ = 76.19°, rel. 19.9, hkl 2 2 6

```
data_V3FeS6
_chemical_formula_sum 'V9 Fe3 S18'
_cell_length_a 5.5946
_cell_length_b 5.5946
_cell_length_c 16.6877
_cell_angle_alpha 90.00
_cell_angle_beta 90.00
_cell_angle_gamma 120.00
_symmetry_space_group_name_H-M 'R -3'
_symmetry_Int_Tables_number 148
_symmetry_space_group_name_Hall '-R 3'
loop_
_atom_site_label
_atom_site_fract_x
_atom_site_fract_y
_atom_site_fract_z
_atom_site_occupancy
V1 0.0000 0.0000 0.0000 1
V2 0.0000 0.0000 0.3311 1
Fe1 0.0000 0.0000 0.5000 1
S1 0.0010 0.3362 0.2462 1
```